Record 1
This entry pairs a crystal structure of KW2Br6N2 with its calculated X-ray powder pattern. Radiation: Cu Kα. Structure: a crystal structure in OQMD, relaxed with PBE.
Kinematic intensities with the Lorentz-polarization factor, no thermal factor.

Structure:
abc: 3.789 11.263 13.532
angles: 90.00 90.00 90.00
Space group Immm (No. 71)
Inequivalent atoms, fractional coordinates:
K 0.000 0.000 0.000 [2 per cell]
W 0.000 0.154 0.500 [4 per cell]
Br 0.000 0.000 0.351 [4 per cell]
Br 0.000 0.314 0.369 [8 per cell]
N 0.000 0.367 0.000 [4 per cell]

Peak list (8 most intense, 2θ from 15° to 90°, by intensity)
- 2θ 24.39, intensity 100
- 2θ 30.99, intensity 95
- 2θ 43.20, intensity 62
- 2θ 58.26, intensity 31
- 2θ 36.20, intensity 25
- 2θ 41.12, intensity 23
- 2θ 44.86, intensity 20
- 2θ 53.19, intensity 18

---

Record 2
This entry pairs a crystal structure of Ni10Hg with its calculated X-ray powder pattern. Radiation: Cu Kα. Structure: a crystal structure in OQMD, relaxed with PBE.
Kinematic intensities with the Lorentz-polarization factor, no thermal factor.

Structure:
abc: 7.819 3.496 29.797
angles: 90.00 90.12 90.00
Space group C2/m (No. 12)
Inequivalent atoms, fractional coordinates:
Ni 0.048 0.000 0.275 [4 per cell]
Ni 0.050 0.000 0.540 [4 per cell]
Ni 0.050 0.500 0.408 [4 per cell]
Ni 0.051 0.500 0.671 [4 per cell]
Ni 0.149 0.000 0.355 [4 per cell]
Ni 0.150 0.000 0.619 [4 per cell]
Ni 0.150 0.500 0.487 [4 per cell]
Ni 0.150 0.500 0.750 [4 per cell]
Ni 0.249 0.500 0.302 [4 per cell]
Ni 0.250 0.000 0.434 [4 per cell]
Hg 0.152 0.500 0.208 [4 per cell]

Peak list (8 most intense, 2θ from 15° to 90°, by intensity)
- 2θ 43.86, intensity 100
- 2θ 45.04, intensity 90
- 2θ 44.28, intensity 53
- 2θ 52.36, intensity 43
- 2θ 76.51, intensity 30
- 2θ 51.48, intensity 27
- 2θ 51.57, intensity 26
- 2θ 46.35, intensity 23

---

Record 3
This entry pairs a crystal structure of PmPrNO with its calculated X-ray powder pattern. Radiation: Cu Kα. Structure: a crystal structure in OQMD, relaxed with PBE.
Kinematic intensities with the Lorentz-polarization factor, no thermal factor.

Structure:
abc: 8.412 7.037 5.141
angles: 90.00 90.00 90.00
Space group Pbcm (No. 57)
Inequivalent atoms, fractional coordinates:
Pm 0.124 0.084 0.250 [4 per cell]
Pr 0.375 0.573 0.250 [4 per cell]
N 0.122 0.076 0.750 [4 per cell]
O 0.365 0.590 0.750 [4 per cell]

Peak list (8 most intense, 2θ from 15° to 90°, by intensity)
- 2θ 30.25, intensity 100
- 2θ 30.80, intensity 42
- 2θ 24.66, intensity 38
- 2θ 34.91, intensity 34
- 2θ 44.21, intensity 34
- 2θ 57.53, intensity 30
- 2θ 25.31, intensity 23
- 2θ 43.01, intensity 19

---

Record 4
This entry pairs a crystal structure of Lu3SbN2 with its calculated X-ray powder pattern. Radiation: Cu Kα. Structure: a crystal structure in OQMD, relaxed with PBE.
Kinematic intensities with the Lorentz-polarization factor, no thermal factor.

Structure:
abc: 3.4358 3.4358 19.8695
angles: 90.00 90.00 120.00
Space group P6_3/mmc (No. 194)
Inequivalent atoms, fractional coordinates:
Lu 0.0000 0.0000 0.0000 [2 per cell]
Lu 0.3333 0.6667 0.1304 [4 per cell]
Sb 0.0000 0.0000 0.2500 [2 per cell]
N 0.3333 0.6667 0.5705 [4 per cell]

Peak list (8 most intense, 2θ from 15° to 90°, by intensity)
- 2θ 35.16, intensity 100
- 2θ 53.33, intensity 31
- 2θ 30.38, intensity 29
- 2θ 66.14, intensity 27
- 2θ 37.77, intensity 26
- 2θ 36.17, intensity 26
- 2θ 65.49, intensity 16
- 2θ 64.39, intensity 16

---

Record 5
This entry pairs a crystal structure of Pt2CSeS with its calculated X-ray powder pattern. Radiation: Cu Kα. Structure: a crystal structure in OQMD, relaxed with PBE.
Kinematic intensities with the Lorentz-polarization factor, no thermal factor.

Structure:
abc: 3.4587 3.4587 8.8512
angles: 90.00 90.00 120.00
Space group P3m1 (No. 156)
Inequivalent atoms, fractional coordinates:
Pt 0.0000 0.0000 0.0000 [1 per cell]
Pt 0.3333 0.6667 0.2568 [1 per cell]
C 0.6667 0.3333 0.1328 [1 per cell]
Se 0.3333 0.6667 0.8304 [1 per cell]
S 0.0000 0.0000 0.4047 [1 per cell]

Peak list (8 most intense, 2θ from 15° to 90°, by intensity)
- 2θ 36.21, intensity 100
- 2θ 43.03, intensity 40
- 2θ 29.83, intensity 32
- 2θ 31.53, intensity 32
- 2θ 52.95, intensity 29
- 2θ 65.83, intensity 18
- 2θ 60.78, intensity 17
- 2θ 89.32, intensity 16

---

Record 6
This entry pairs a crystal structure of HfFeCu2 with its calculated X-ray powder pattern. Radiation: Cu Kα. Structure: a crystal structure in OQMD, relaxed with PBE.
Kinematic intensities with the Lorentz-polarization factor, no thermal factor.

Structure:
abc: 6.020 6.020 6.020
angles: 90.00 90.00 90.00
Space group F-43m (No. 216)
Inequivalent atoms, fractional coordinates:
Hf 0.000 0.000 0.000 [4 per cell]
Fe 0.250 0.250 0.750 [4 per cell]
Cu 0.000 0.000 0.500 [4 per cell]
Cu 0.250 0.250 0.250 [4 per cell]

Peak list (8 most intense, 2θ from 15° to 90°, by intensity)
- 2θ 42.47, intensity 100
- 2θ 77.71, intensity 32
- 2θ 25.63, intensity 21
- 2θ 61.63, intensity 16
- 2θ 29.68, intensity 13
- 2θ 50.27, intensity 11
- 2θ 69.88, intensity 5
- 2θ 67.87, intensity 5

---

Record 7
This entry pairs a crystal structure of YHoAl4Fe2 with its calculated X-ray powder pattern. Radiation: Cu Kα. Structure: a crystal structure in OQMD, relaxed with PBE.
Kinematic intensities with the Lorentz-polarization factor, no thermal factor.

Structure:
abc: 7.067 3.982 10.119
angles: 90.00 90.00 90.00
Space group Amm2 (No. 38)
Inequivalent atoms, fractional coordinates:
Y 0.000 0.000 0.000 [2 per cell]
Ho 0.500 0.000 0.121 [2 per cell]
Al 0.194 0.000 0.718 [4 per cell]
Al 0.308 0.000 0.402 [4 per cell]
Fe 0.000 0.000 0.276 [2 per cell]
Fe 0.500 0.000 0.845 [2 per cell]

Peak list (8 most intense, 2θ from 15° to 90°, by intensity)
- 2θ 35.09, intensity 100
- 2θ 37.18, intensity 99
- 2θ 37.77, intensity 60
- 2θ 24.02, intensity 58
- 2θ 25.20, intensity 53
- 2θ 45.58, intensity 36
- 2θ 52.67, intensity 31
- 2θ 60.62, intensity 29

---

Record 8
This entry pairs a crystal structure of AlNi5 with its calculated X-ray powder pattern. Radiation: Cu Kα. Structure: a crystal structure in OQMD, relaxed with PBE.
Kinematic intensities with the Lorentz-polarization factor, no thermal factor.

Structure:
abc: 4.6198 4.6198 7.5078
angles: 90.00 90.00 120.00
Space group P6_3/mmc (No. 194)
Inequivalent atoms, fractional coordinates:
Al 0.0000 0.0000 0.0000 [2 per cell]
Ni 0.1715 0.3430 0.2500 [6 per cell]
Ni 0.3333 0.6667 0.5712 [4 per cell]

Peak list (8 most intense, 2θ from 15° to 90°, by intensity)
- 2θ 47.01, intensity 100
- 2θ 42.61, intensity 83
- 2θ 46.14, intensity 67
- 2θ 79.88, intensity 26
- 2θ 73.12, intensity 25
- 2θ 45.33, intensity 22
- 2θ 83.75, intensity 21
- 2θ 23.70, intensity 17

---

Record 9
This entry pairs a crystal structure of Sc4Sn3W2C3 with its calculated X-ray powder pattern. Radiation: Cu Kα. Structure: a crystal structure in OQMD, relaxed with PBE.
Kinematic intensities with the Lorentz-polarization factor, no thermal factor.

Structure:
abc: 9.836 5.717 14.497
angles: 90.00 102.87 90.00
Space group C2/c (No. 15)
Inequivalent atoms, fractional coordinates:
Sc 0.112 0.074 0.087 [8 per cell]
Sc 0.216 0.089 0.413 [8 per cell]
Sn 0.000 0.113 0.750 [4 per cell]
Sn 0.156 0.427 0.249 [8 per cell]
W 0.066 0.411 0.926 [8 per cell]
C 0.078 0.265 0.500 [8 per cell]
C 0.250 0.250 0.000 [4 per cell]

Peak list (8 most intense, 2θ from 15° to 90°, by intensity)
- 2θ 36.82, intensity 100
- 2θ 36.97, intensity 49
- 2θ 38.21, intensity 27
- 2θ 18.06, intensity 26
- 2θ 31.45, intensity 23
- 2θ 55.79, intensity 22
- 2θ 18.48, intensity 17
- 2θ 50.20, intensity 15

---

Record 10
This entry pairs a crystal structure of Gd5Co2B6 with its calculated X-ray powder pattern. Radiation: Cu Kα. Structure: a crystal structure in OQMD, relaxed with PBE.
Kinematic intensities with the Lorentz-polarization factor, no thermal factor.

Structure:
abc: 5.4124 5.4124 23.5502
angles: 90.00 90.00 120.00
Space group R-3m (No. 166, hexagonal axes)
Inequivalent atoms, fractional coordinates:
Gd 0.0000 0.0000 0.0000 [3 per cell]
Gd 0.0000 0.0000 0.2517 [6 per cell]
Gd 0.0000 0.0000 0.4160 [6 per cell]
Co 0.0000 0.0000 0.1207 [6 per cell]
B 0.0000 0.3321 0.5000 [18 per cell]

Peak list (8 most intense, 2θ from 15° to 90°, by intensity)
- 2θ 33.10, intensity 100
- 2θ 40.49, intensity 39
- 2θ 32.77, intensity 35
- 2θ 59.13, intensity 22
- 2θ 58.06, intensity 22
- 2θ 26.83, intensity 21
- 2θ 22.65, intensity 21
- 2θ 36.03, intensity 20

---

Record 11
This entry pairs a crystal structure of PrNd3P2Br2 with its calculated X-ray powder pattern. Radiation: Cu Kα. Structure: a crystal structure in OQMD, relaxed with PBE.
Kinematic intensities with the Lorentz-polarization factor, no thermal factor.

Structure:
abc: 4.1301 4.1301 14.8493
angles: 90.00 90.00 120.00
Space group P3m1 (No. 156)
Inequivalent atoms, fractional coordinates:
Pr 0.0000 0.0000 0.0000 [1 per cell]
Nd 0.0000 0.0000 0.7029 [1 per cell]
Nd 0.3333 0.6667 0.2047 [1 per cell]
Nd 0.3333 0.6667 0.5006 [1 per cell]
P 0.6667 0.3333 0.1038 [1 per cell]
P 0.6667 0.3333 0.6017 [1 per cell]
Br 0.0000 0.0000 0.3526 [1 per cell]
Br 0.3333 0.6667 0.8498 [1 per cell]

Peak list (8 most intense, 2θ from 15° to 90°, by intensity)
- 2θ 30.84, intensity 100
- 2θ 43.84, intensity 32
- 2θ 24.89, intensity 22
- 2θ 54.56, intensity 20
- 2θ 72.48, intensity 17
- 2θ 58.18, intensity 13
- 2θ 44.52, intensity 13
- 2θ 25.62, intensity 10

---

Record 12
This entry pairs a crystal structure of RbCuAg2C4N4 with its calculated X-ray powder pattern. Radiation: Cu Kα. Structure: a crystal structure in OQMD, relaxed with PBE.
Kinematic intensities with the Lorentz-polarization factor, no thermal factor.

Structure:
abc: 7.945 7.219 7.719
angles: 90.00 102.49 90.00
Space group P2/c (No. 13)
Inequivalent atoms, fractional coordinates:
Rb 0.000 0.246 0.250 [2 per cell]
Cu 0.000 0.257 0.750 [2 per cell]
Ag 0.500 0.000 0.000 [2 per cell]
Ag 0.500 0.437 0.250 [2 per cell]
C 0.286 0.075 0.590 [4 per cell]
C 0.288 0.421 0.046 [4 per cell]
N 0.163 0.122 0.640 [4 per cell]
N 0.165 0.393 0.933 [4 per cell]

Peak list (8 most intense, 2θ from 15° to 90°, by intensity)
- 2θ 27.25, intensity 100
- 2θ 22.93, intensity 60
- 2θ 31.11, intensity 40
- 2θ 31.83, intensity 37
- 2θ 26.69, intensity 31
- 2θ 26.96, intensity 28
- 2θ 43.03, intensity 27
- 2θ 34.41, intensity 19

---

What is the formula in the second record?
Ni10Hg